No. 1
Structure and theoretical powder diffractogram of TcMo (a cell relaxed with GGA-PBE; copper Kα).
Lines closer than 0.1° are merged.

Structural model:
Lattice parameters (Å, degrees): 7.0330 7.0330 3.1171 90.00 90.00 143.54
Positions (direct):
1 Tc 0.0000 0.0000 0.0000
2 Tc 0.1727 0.8273 0.5000
3 Tc 0.8273 0.1727 0.5000
4 Mo 0.3392 0.6608 0.0000
5 Mo 0.5000 0.5000 0.5000
6 Mo 0.6608 0.3392 0.0000

Main lines, sorted by position (15° ≤ 2θ ≤ 90°):
2θ/deg, I/Imax
40.51, 25.0
40.86, 100.0
41.03, 24.9
59.02, 16.0
59.29, 8.2
73.93, 15.6
74.62, 24.4
88.55, 10.5

=====

No. 2
Structure and theoretical powder diffractogram of RbCdPd (a cell relaxed with GGA-PBE; copper Kα).
Lines closer than 0.1° are merged.

Structural model:
Lattice parameters (Å, degrees): 6.7969 6.7969 6.7969 147.40 147.40 46.77
Positions (direct):
1 Rb 0.0000 0.0000 0.0000
2 Cd 0.2688 0.2688 0.0000
3 Pd 0.7307 0.7307 0.0000

Main lines, sorted by position (15° ≤ 2θ ≤ 90°):
2θ/deg, I/Imax
28.62, 62.8
31.83, 63.7
33.21, 100.0
36.28, 27.8
44.40, 73.9
47.67, 35.4
56.55, 35.4
57.03, 27.1

=====

No. 3
Structure and theoretical powder diffractogram of Mn3GaPt3 (a cell relaxed with GGA-PBE; copper Kα).
Lines closer than 0.1° are merged.

Structural model:
Lattice parameters (Å, degrees): 5.3159 5.3159 5.3159 109.28 109.28 109.28
Positions (direct):
1 Mn 0.0000 0.5000 0.5000
2 Mn 0.5000 0.0000 0.5000
3 Mn 0.5000 0.5000 0.0000
4 Ga 0.0000 0.0000 0.0000
5 Pt 0.0000 0.0000 0.5000
6 Pt 0.0000 0.5000 0.0000
7 Pt 0.5000 0.0000 0.0000

Main lines, sorted by position (15° ≤ 2θ ≤ 90°):
2θ/deg, I/Imax
20.34, 39.6
20.49, 27.8
29.03, 41.8
35.81, 26.3
41.36, 100.0
41.67, 97.9
60.16, 32.7
75.84, 32.9

=====

No. 4
Structure and theoretical powder diffractogram of Dy3Ir2Rh (a cell relaxed with GGA-PBE; copper Kα).
Lines closer than 0.1° are merged.

Structural model:
Lattice parameters (Å, degrees): 3.4310 3.4310 10.2711 90.00 90.00 90.00
Positions (direct):
1 Dy 0.0000 0.0000 0.0000
2 Dy 0.0000 0.0000 0.3318
3 Dy 0.0000 0.0000 0.6682
4 Ir 0.5000 0.5000 0.1681
5 Ir 0.5000 0.5000 0.8319
6 Rh 0.5000 0.5000 0.5000

Main lines, sorted by position (15° ≤ 2θ ≤ 90°):
2θ/deg, I/Imax
17.27, 1.0
27.41, 0.9
37.08, 100.0
53.41, 11.8
53.53, 5.8
66.84, 35.9
78.92, 3.8
79.02, 7.5

=====

No. 5
Structure and theoretical powder diffractogram of Pu3P4Pd2 (a cell relaxed with GGA-PBE; copper Kα).
Lines closer than 0.1° are merged.

Structural model:
Lattice parameters (Å, degrees): 7.5081 7.5081 6.5284 111.20 111.20 30.46
Positions (direct):
1 Pu 0.0000 0.0000 0.0000
2 Pu 0.1385 0.1385 0.5709
3 Pu 0.8615 0.8615 0.4291
4 P 0.2082 0.2082 0.2268
5 P 0.4887 0.4887 0.3130
6 P 0.5113 0.5113 0.6870
7 P 0.7918 0.7918 0.7732
8 Pd 0.3238 0.3238 0.0131
9 Pd 0.6762 0.6762 0.9869

Main lines, sorted by position (15° ≤ 2θ ≤ 90°):
2θ/deg, I/Imax
23.50, 50.7
25.04, 45.9
29.52, 39.5
30.15, 88.8
35.99, 53.5
36.96, 100.0
46.01, 31.5
53.08, 25.6

=====

No. 6
Structure and theoretical powder diffractogram of LiDyP2Pt7 (a cell relaxed with GGA-PBE; copper Kα).
Lines closer than 0.1° are merged.

Structural model:
Lattice parameters (Å, degrees): 12.8814 12.8814 12.8814 161.78 161.78 25.88
Positions (direct):
1 Li 0.0000 0.0000 0.0000
2 Dy 0.2500 0.7500 0.5000
3 P 0.6149 0.1149 0.5000
4 P 0.8851 0.3851 0.5000
5 Pt 0.1642 0.1642 0.0000
6 Pt 0.3353 0.3353 0.0000
7 Pt 0.5286 0.0286 0.5000
8 Pt 0.6647 0.6647 0.0000
9 Pt 0.7500 0.2500 0.5000
10 Pt 0.8358 0.8358 0.0000
11 Pt 0.9714 0.4714 0.5000

Main lines, sorted by position (15° ≤ 2θ ≤ 90°):
2θ/deg, I/Imax
21.23, 27.3
34.22, 100.0
37.89, 71.0
42.57, 32.0
44.42, 60.5
64.64, 20.1
75.21, 21.2
75.75, 21.4

=====

No. 7
Structure and theoretical powder diffractogram of BaCaAg2 (a cell relaxed with GGA-PBE; copper Kα).
Lines closer than 0.1° are merged.

Structural model:
Lattice parameters (Å, degrees): 7.1364 7.1364 7.1364 106.78 106.78 115.01
Positions (direct):
1 Ba 0.0000 0.0000 0.0000
2 Ba 0.7500 0.2500 0.5000
3 Ca 0.2500 0.7500 0.5000
4 Ca 0.5000 0.5000 0.0000
5 Ag 0.1564 0.6250 0.0314
6 Ag 0.3750 0.4064 0.5314
7 Ag 0.5936 0.1250 0.9686
8 Ag 0.8750 0.8436 0.4686

Main lines, sorted by position (15° ≤ 2θ ≤ 90°):
2θ/deg, I/Imax
26.13, 26.0
27.58, 100.0
29.68, 76.2
40.97, 61.3
42.48, 25.6
52.34, 30.9
60.49, 15.5
69.61, 21.4

=====

No. 8
Structure and theoretical powder diffractogram of AcEr6Tm12 (a cell relaxed with GGA-PBE; copper Kα).
Lines closer than 0.1° are merged.

Structural model:
Lattice parameters (Å, degrees): 9.1311 9.1311 9.1311 106.70 106.70 106.70
Positions (direct):
1 Ac 0.0000 0.0000 0.0000
2 Er 0.2741 0.6991 0.6991
3 Er 0.3009 0.3009 0.7259
4 Er 0.3009 0.7259 0.3009
5 Er 0.6991 0.2741 0.6991
6 Er 0.6991 0.6991 0.2741
7 Er 0.7259 0.3009 0.3009
8 Tm 0.1121 0.5000 0.8879
9 Tm 0.1121 0.8879 0.5000
10 Tm 0.1495 0.3761 0.3761
11 Tm 0.3761 0.1495 0.3761
12 Tm 0.3761 0.3761 0.1495
13 Tm 0.5000 0.1121 0.8879
14 Tm 0.5000 0.8879 0.1121
15 Tm 0.6239 0.6239 0.8505
16 Tm 0.6239 0.8505 0.6239
17 Tm 0.8505 0.6239 0.6239
18 Tm 0.8879 0.1121 0.5000
19 Tm 0.8879 0.5000 0.1121

Main lines, sorted by position (15° ≤ 2θ ≤ 90°):
2θ/deg, I/Imax
26.77, 100.0
28.68, 91.4
31.95, 77.9
33.59, 41.0
35.41, 76.5
37.65, 47.7
38.55, 33.2
39.58, 72.4